No. 1
For CsHCO2, a crystal structure in the Materials Project, relaxed with PBE gives the theoretical PXRD pattern in this record (Cu Kα X-rays).
Peak positions follow from Bragg's law for the DFT cell and can differ from measured ones.

Structural model:
```
CsHCO2
1.0
4.920 0.000 0.000
0.000 9.730 0.000
0.000 0.000 8.073
Cs H C O
4 4 4 8
Cartesian
0.244 2.432 0.000
0.244 2.432 4.037
4.676 7.297 0.000
4.676 7.297 4.037
2.146 5.148 2.018
2.146 9.447 6.055
2.774 0.283 2.018
2.774 4.582 6.055
1.936 5.329 6.055
1.936 9.265 2.018
2.984 0.465 6.055
2.984 4.400 2.018
0.756 0.005 2.018
0.756 4.860 6.055
2.273 6.554 6.055
2.273 8.040 2.018
2.647 1.689 6.055
2.647 3.175 2.018
4.164 4.870 2.018
4.164 9.725 6.055
```

Principal peaks in the range 2θ = 10–80°, most intense first:
34.1 deg, I = 100; 28.7 deg, I = 97; 28.6 deg, I = 89; 18.2 deg, I = 80; 18.0 deg, I = 74; 25.8 deg, I = 74; 41.4 deg, I = 29; 47.4 deg, I = 28; 22.0 deg, I = 27; 48.8 deg, I = 25

=====

No. 2
For CsTiH10C4O13, a crystal structure in the Materials Project, relaxed with PBE gives the theoretical PXRD pattern in this record (Cu Kα X-rays).
Peak positions follow from Bragg's law for the DFT cell and can differ from measured ones.

Structural model:
```
CsTiH10C4O13
1.0
6.767 0.000 0.000
0.000 11.518 0.000
-0.720 0.000 8.018
Cs Ti H C O
2 2 20 8 26
Cartesian
0.160 2.880 1.737
5.887 8.639 6.280
1.794 2.880 5.805
4.253 8.639 2.213
-0.037 7.806 2.954
-0.037 9.472 2.954
1.012 6.177 1.800
1.012 11.101 1.800
1.319 6.012 3.338
1.319 11.266 3.338
2.242 7.819 0.552
2.242 9.458 0.552
2.779 7.847 4.474
2.779 9.430 4.474
3.269 2.088 3.543
3.269 3.671 3.543
3.805 2.060 7.466
3.805 3.699 7.466
4.729 0.253 4.680
4.729 5.507 4.680
5.035 0.418 6.217
5.035 5.342 6.217
6.084 2.047 5.064
6.084 3.712 5.064
1.195 0.350 7.278
1.195 5.409 7.278
1.772 5.868 5.943
1.772 11.410 5.943
4.275 0.109 2.074
4.275 5.650 2.074
4.852 6.109 0.739
4.852 11.168 0.739
-0.124 2.880 4.949
0.607 6.242 2.707
0.607 11.036 2.707
1.638 6.240 0.173
1.638 11.038 0.173
1.035 1.620 7.354
1.035 4.139 7.354
1.885 7.083 5.672
1.885 10.194 5.672
2.091 0.877 5.173
2.091 4.882 5.173
2.496 8.639 1.063
2.837 2.880 3.987
3.211 8.639 4.031
3.551 2.880 6.955
3.956 6.636 2.844
3.956 10.642 2.844
4.162 1.324 2.346
4.162 4.435 2.346
5.012 7.379 0.664
5.012 9.899 0.664
4.409 0.480 7.845
4.409 5.279 7.845
5.440 0.482 5.311
5.440 5.277 5.311
6.172 8.639 3.068
```

Principal peaks in the range 2θ = 10–80°, most intense first:
30.7 deg, I = 100; 18.1 deg, I = 97; 19.5 deg, I = 96; 31.1 deg, I = 86; 29.7 deg, I = 80; 28.5 deg, I = 62; 15.2 deg, I = 55; 22.2 deg, I = 49; 15.4 deg, I = 45; 26.0 deg, I = 41

=====

No. 3
For CsTiH10C4O13, a crystal structure in the Materials Project, relaxed with PBE gives the theoretical PXRD pattern in this record (Cu Kα X-rays).
Peak positions follow from Bragg's law for the DFT cell and can differ from measured ones.

Structural model:
```
CsTiH10C4O13
1.0
7.228 0.000 0.000
0.000 11.945 0.000
-1.677 0.000 7.838
Cs Ti H C O
2 2 20 8 26
Cartesian
0.003 2.986 1.883
5.548 8.959 5.955
0.947 2.986 6.266
4.604 8.959 1.572
0.245 6.749 2.992
0.245 11.168 2.992
0.831 6.198 1.643
0.831 11.720 1.643
2.192 8.136 0.604
2.192 9.782 0.604
1.792 0.880 4.422
1.792 5.093 4.422
2.257 8.200 4.726
2.257 9.718 4.726
3.294 2.227 3.113
3.294 3.745 3.113
3.760 6.853 3.417
3.760 11.065 3.417
3.359 2.163 7.234
3.359 3.809 7.234
4.720 0.225 6.195
4.720 5.747 6.195
5.306 0.777 4.846
5.306 5.196 4.846
0.440 0.257 7.257
0.440 5.716 7.257
1.068 6.079 5.958
1.068 11.839 5.958
4.483 0.106 1.880
4.483 5.866 1.880
5.111 6.230 0.581
5.111 11.688 0.581
-0.133 2.986 4.991
0.465 0.053 2.527
0.465 5.919 2.527
1.599 6.606 0.149
1.599 11.312 0.149
0.409 1.543 7.520
0.409 4.429 7.520
1.020 7.184 5.410
1.020 10.733 5.410
2.522 8.959 1.062
1.722 0.980 5.400
1.722 4.992 5.400
2.717 2.986 3.369
2.835 8.959 4.470
3.830 6.953 2.439
3.830 10.965 2.439
3.029 2.986 6.776
4.531 1.212 2.428
4.531 4.761 2.428
5.142 7.516 0.318
5.142 10.402 0.318
3.952 0.633 7.690
3.952 5.340 7.690
5.086 6.026 5.311
5.086 11.892 5.311
5.684 8.959 2.847
```

Principal peaks in the range 2θ = 10–80°, most intense first:
29.9 deg, I = 100; 16.8 deg, I = 88; 20.0 deg, I = 88; 14.6 deg, I = 72; 37.5 deg, I = 51; 22.7 deg, I = 43; 24.7 deg, I = 35; 26.5 deg, I = 35; 29.4 deg, I = 34; 27.2 deg, I = 30

=====

No. 4
For CsU2HC4O14, a crystal structure in the Materials Project, relaxed with PBE gives the theoretical PXRD pattern in this record (Cu Kα X-rays).
Peak positions follow from Bragg's law for the DFT cell and can differ from measured ones.

Structural model:
```
CsU2HC4O14
1.0
5.913 0.000 0.000
0.000 13.689 0.000
-0.730 0.000 9.698
Cs U H C O
2 4 2 8 28
Cartesian
0.133 3.422 1.338
5.050 10.267 8.360
1.463 8.053 2.542
1.463 12.480 2.542
3.720 1.209 7.156
3.720 5.636 7.156
2.365 3.422 6.204
2.818 10.267 3.494
-0.318 7.514 5.231
-0.318 13.020 5.231
2.717 0.708 0.190
2.717 6.137 0.190
2.466 7.552 9.508
2.466 12.981 9.508
5.500 0.669 4.467
5.500 6.175 4.467
0.002 8.561 1.609
0.002 11.973 1.609
0.201 0.734 3.362
0.201 6.111 3.362
0.362 8.429 4.683
0.362 12.105 4.683
1.919 0.788 1.169
1.919 6.057 1.169
2.022 10.267 2.931
2.025 10.267 6.603
2.201 0.776 6.283
2.201 6.068 6.283
2.747 8.511 0.502
2.747 12.023 0.502
2.436 1.666 9.196
2.436 5.178 9.196
2.982 7.621 3.415
2.982 12.913 3.415
3.158 3.422 3.095
3.161 3.422 6.767
3.264 7.632 8.529
3.264 12.901 8.529
4.820 1.584 5.015
4.820 5.260 5.015
4.982 7.578 6.336
4.982 12.955 6.336
5.181 1.716 8.089
5.181 5.128 8.089
```

Principal peaks in the range 2θ = 10–80°, most intense first:
21.5 deg, I = 100; 17.0 deg, I = 71; 18.2 deg, I = 67; 30.2 deg, I = 59; 24.7 deg, I = 44; 18.3 deg, I = 42; 22.4 deg, I = 38; 11.2 deg, I = 36; 30.5 deg, I = 33; 16.4 deg, I = 31